# Tl3IrSe4
Theoretical XRD peak list, copper Kα. Input: the GGA-PBE geometry in OQMD.
Lines closer than 0.1° are merged.

Peak list (10 most intense, 2θ from 15° to 90°, in order of falling intensity)
| d (Å) | I/Imax | (hkl) |
| --- | --- | --- |
| 2.772 | 100 | 2 2 0 |
| 3.921 | 55 | 2 0 0 |
| 1.753 | 48 | 4 2 0 |
| 1.601 | 30 | 4 2 2 |
| 2.264 | 27 | 2 2 2 |
| 1.307 | 24 | 6 0 0 |
| 3.201 | 17 | 2 1 1 |
| 1.182 | 15 | 6 2 2 |
| 1.960 | 11 | 4 0 0 |
| 1.386 | 11 | 4 4 0 |

Cell and atoms:
Cell: 7.842 7.842 7.842 Å, 90.00 90.00 90.00°
Space group I-43m (No. 217)
Asymmetric unit:
Tl 0.000 0.000 0.500 x6
Ir 0.000 0.000 0.000 x2
Se 0.173 0.173 0.827 x8


# Si3Ir
Theoretical XRD peak list, copper Kα. Input: the GGA-PBE geometry in OQMD.
Lines closer than 0.1° are merged.

Peak list (10 most intense, 2θ from 15° to 90°, in order of falling intensity)
| d (Å) | I/Imax | (hkl) |
| --- | --- | --- |
| 3.481 | 100 | 1 0 1 |
| 1.970 | 38 | 2 0 1 |
| 1.918 | 35 | 1 1 2 |
| 1.904 | 28 | 1 0 3 |
| 4.139 | 20 | 1 0 0 |
| 2.390 | 20 | 1 1 0 |
| 2.540 | 20 | 1 0 2 |
| 1.520 | 19 | 2 1 1 |
| 1.264 | 15 | 2 1 3 |
| 3.217 | 14 | 0 0 2 |

Cell and atoms:
Cell: 4.7796 4.7796 6.4334 Å, 90.00 90.00 120.00°
Space group P6_3mc (No. 186)
Asymmetric unit:
Si 0.1669 0.3338 0.0000 x6
Ir 0.3333 0.6667 0.6752 x2


# Si4Ir3
Theoretical XRD peak list, copper Kα. Input: the GGA-PBE geometry in OQMD.
Lines closer than 0.1° are merged.

Peak list (10 most intense, 2θ from 15° to 90°, in order of falling intensity)
| d (Å) | I/Imax | (hkl) |
| --- | --- | --- |
| 3.104 | 100 | 1 1 1 |
| 2.057 | 77 | 7 1 1 |
| 3.146 | 58 | 0 1 1 |
| 3.171 | 51 | 6 0 0 |
| 2.162 | 45 | 3 1 2 |
| 3.687 | 42 | 4 0 1 |
| 2.070 | 38 | 4 1 2 |
| 1.868 | 35 | 0 2 0 |
| 2.789 | 33 | 2 0 2 |
| 1.860 | 29 | 3 0 3 |

Cell and atoms:
Cell: 19.026 3.736 5.836 Å, 90.00 90.00 90.00°
Space group Pnma (No. 62)
Asymmetric unit:
Si 0.050 0.250 0.027 x4
Si 0.091 0.250 0.573 x4
Si 0.144 0.750 0.109 x4
Si 0.230 0.250 0.283 x4
Ir 0.031 0.750 0.304 x4
Ir 0.174 0.250 0.891 x4
Ir 0.176 0.750 0.498 x4


# Si5Ir4
Theoretical XRD peak list, copper Kα. Input: the GGA-PBE geometry in OQMD.
Lines closer than 0.1° are merged.

Peak list (10 most intense, 2θ from 15° to 90°, in order of falling intensity)
| d (Å) | I/Imax | (hkl) |
| --- | --- | --- |
| 3.098 | 100 | 1 1 0 |
| 3.066 | 43 | 0 0 4 |
| 2.084 | 41 | 1 1 4 |
| 2.121 | 32 | 2 1 -3 |
| 2.016 | 26 | 1 1 -5 |
| 1.826 | 22 | 0 2 0 |
| 3.666 | 16 | 1 0 -3 |
| 2.924 | 14 | 2 0 0 |
| 2.288 | 13 | 1 1 -4 |
| 1.894 | 12 | 3 0 -3 |

Cell and atoms:
Cell: 5.942 3.653 12.451 Å, 90.00 100.14 90.00°
Space group P2_1/m (No. 11)
Asymmetric unit:
Si 0.006 0.250 0.078 x2
Si 0.030 0.250 0.775 x2
Si 0.144 0.750 0.637 x2
Si 0.390 0.750 0.425 x2
Si 0.474 0.250 0.141 x2
Ir 0.200 0.250 0.499 x2
Ir 0.208 0.250 0.270 x2
Ir 0.283 0.250 0.951 x2
Ir 0.395 0.250 0.727 x2


# SiSn3Ir4
Theoretical XRD peak list, copper Kα. Input: the GGA-PBE geometry in OQMD.
Lines closer than 0.1° are merged.

Peak list (10 most intense, 2θ from 15° to 90°, in order of falling intensity)
| d (Å) | I/Imax | (hkl) |
| --- | --- | --- |
| 3.326 | 100 | 0 1 1 |
| 1.920 | 88 | 0 2 0 |
| 2.185 | 87 | 2 1 -1 |
| 2.174 | 69 | 2 1 1 |
| 2.887 | 46 | 1 1 -1 |
| 2.873 | 32 | 1 0 2 |
| 1.443 | 26 | 4 0 0 |
| 2.169 | 25 | 2 0 2 |
| 2.310 | 18 | 1 1 -2 |
| 1.154 | 18 | 4 2 0 |

Cell and atoms:
Cell: 5.768 3.843 6.647 Å, 90.00 90.51 90.00°
Space group Pm (No. 6)
Asymmetric unit:
Si 0.000 0.000 0.000 x1
Sn 0.429 0.500 0.183 x1
Sn 0.491 0.000 0.673 x1
Sn 0.922 0.500 0.512 x1
Ir 0.197 0.000 0.349 x1
Ir 0.199 0.500 0.841 x1
Ir 0.728 0.000 0.280 x1
Ir 0.730 0.500 0.885 x1


# Tm5Si10Ir4
Theoretical XRD peak list, copper Kα. Input: the GGA-PBE geometry in OQMD.
Lines closer than 0.1° are merged.

Peak list (10 most intense, 2θ from 15° to 90°, in order of falling intensity)
| d (Å) | I/Imax | (hkl) |
| --- | --- | --- |
| 2.522 | 100 | 4 0 1 |
| 2.472 | 44 | 4 1 1 |
| 3.063 | 32 | 2 2 1 |
| 2.112 | 32 | 0 0 2 |
| 2.427 | 30 | 3 3 1 |
| 2.224 | 25 | 4 4 0 |
| 3.978 | 25 | 3 1 0 |
| 4.448 | 22 | 2 2 0 |
| 3.815 | 22 | 1 1 1 |
| 1.966 | 18 | 5 4 0 |

Cell and atoms:
Cell: 12.580 12.580 4.223 Å, 90.00 90.00 90.00°
Space group P4/mbm (No. 127)
Asymmetric unit:
Tm 0.000 0.000 0.000 x2
Tm 0.116 0.384 0.500 x4
Tm 0.174 0.674 0.500 x4
Si 0.003 0.845 0.500 x8
Si 0.066 0.566 0.000 x4
Si 0.165 0.201 0.000 x8
Ir 0.019 0.755 0.000 x8


# U2Si5Ir3
Theoretical XRD peak list, copper Kα. Input: the GGA-PBE geometry in OQMD.
Lines closer than 0.1° are merged.

Peak list (10 most intense, 2θ from 15° to 90°, in order of falling intensity)
| d (Å) | I/Imax | (hkl) |
| --- | --- | --- |
| 2.587 | 100 | 3 2 1 |
| 2.038 | 58 | 0 4 2 |
| 2.534 | 41 | 2 0 2 |
| 2.467 | 37 | 2 4 0 |
| 3.535 | 35 | 1 3 0 |
| 1.619 | 28 | 3 2 3 |
| 2.734 | 28 | 1 1 2 |
| 1.802 | 25 | 5 2 1 |
| 2.935 | 24 | 0 0 2 |
| 3.211 | 23 | 3 1 0 |

Cell and atoms:
Cell: 10.046 11.329 5.870 Å, 90.00 90.00 90.00°
Space group Ibam (No. 72)
Asymmetric unit:
U 0.230 0.131 0.000 x8
Si 0.000 0.000 0.250 x4
Si 0.000 0.273 0.250 x8
Si 0.153 0.391 0.000 x8
Ir 0.000 0.500 0.250 x4
Ir 0.116 0.139 0.500 x8


# Sm5Ir3
Theoretical XRD peak list, copper Kα. Input: the GGA-PBE geometry in OQMD.
Lines closer than 0.1° are merged.

Peak list (10 most intense, 2θ from 15° to 90°, in order of falling intensity)
| d (Å) | I/Imax | (hkl) |
| --- | --- | --- |
| 2.487 | 100 | 4 2 0 |
| 2.708 | 41 | 2 1 2 |
| 3.087 | 35 | 3 1 1 |
| 2.782 | 32 | 3 2 1 |
| 3.937 | 26 | 2 1 1 |
| 2.378 | 25 | 3 1 2 |
| 1.976 | 22 | 2 1 3 |
| 2.434 | 20 | 3 0 2 |
| 2.106 | 16 | 4 0 2 |
| 1.966 | 16 | 5 2 1 |

Cell and atoms:
Cell: 11.115 11.115 6.459 Å, 90.00 90.00 90.00°
Space group P4/ncc (No. 130, origin choice 2)
Asymmetric unit:
Sm 0.042 0.161 0.122 x16
Sm 0.250 0.750 0.000 x4
Ir 0.096 0.596 0.750 x8
Ir 0.250 0.250 0.381 x4


# Sm5Ir2
Theoretical XRD peak list, copper Kα. Input: the GGA-PBE geometry in OQMD.
Lines closer than 0.1° are merged.

Peak list (10 most intense, 2θ from 15° to 90°, in order of falling intensity)
| d (Å) | I/Imax | (hkl) |
| --- | --- | --- |
| 2.613 | 100 | 5 1 1 |
| 2.864 | 79 | 2 2 -1 |
| 2.924 | 67 | 5 1 0 |
| 4.559 | 66 | 1 1 1 |
| 2.768 | 54 | 2 2 1 |
| 2.269 | 48 | 1 1 -3 |
| 2.564 | 48 | 4 2 0 |
| 2.550 | 44 | 4 0 2 |
| 2.997 | 44 | 0 2 1 |
| 2.877 | 39 | 4 0 -2 |

Cell and atoms:
Cell: 16.434 6.593 7.253 Å, 90.00 96.95 90.00°
Space group C2/c (No. 15)
Asymmetric unit:
Sm 0.000 0.070 0.250 x4
Sm 0.093 0.389 0.919 x8
Sm 0.219 0.071 0.314 x8
Ir 0.112 0.208 0.575 x8


# TbSmSn2Ir
Theoretical XRD peak list, copper Kα. Input: the GGA-PBE geometry in OQMD.
Lines closer than 0.1° are merged.

Peak list (10 most intense, 2θ from 15° to 90°, in order of falling intensity)
| d (Å) | I/Imax | (hkl) |
| --- | --- | --- |
| 2.381 | 100 | 3 1 1 |
| 2.840 | 90 | 1 1 -3 |
| 2.920 | 90 | 1 1 2 |
| 2.272 | 78 | 0 2 0 |
| 1.492 | 49 | 7 1 -3 |
| 2.570 | 46 | 3 1 -3 |
| 2.758 | 43 | 4 0 -2 |
| 2.852 | 33 | 3 1 -1 |
| 2.257 | 30 | 3 1 -4 |
| 2.337 | 30 | 4 0 -4 |

Cell and atoms:
Cell: 11.061 4.544 10.993 Å, 90.00 115.97 90.00°
Space group C2/m (No. 12)
Asymmetric unit:
Tb 0.000 0.000 0.170 x4
Sm 0.189 0.000 0.627 x4
Sn 0.026 0.500 0.380 x4
Sn 0.155 0.500 0.048 x4
Ir 0.227 0.500 0.828 x4


# Sn4Ir
Theoretical XRD peak list, copper Kα. Input: the GGA-PBE geometry in OQMD.
Lines closer than 0.1° are merged.

Peak list (10 most intense, 2θ from 15° to 90°, in order of falling intensity)
| d (Å) | I/Imax | (hkl) |
| --- | --- | --- |
| 2.139 | 100 | 2 0 8 |
| 2.674 | 95 | 2 1 3 |
| 1.987 | 89 | 3 1 2 |
| 2.926 | 78 | 1 1 6 |
| 2.426 | 70 | 2 1 5 |
| 5.769 | 44 | 0 0 4 |
| 1.400 | 39 | 3 3 6 |
| 2.791 | 37 | 2 0 4 |
| 4.200 | 36 | 1 1 2 |
| 2.255 | 32 | 2 2 0 |

Cell and atoms:
Cell: 6.378 6.378 23.075 Å, 90.00 90.00 90.00°
Space group I4_1/acd (No. 142, origin choice 2)
Asymmetric unit:
Sn 0.173 0.077 0.312 x32
Ir 0.000 0.250 0.125 x8